Entry 1:
The following is a theoretical powder diffractogram of CsLiB6O10. It was derived from a cell relaxed with PBE, using Cu Kα (weighted mean of Kα1 and Kα2).

Structural model:
a b c (Å): 8.766 8.766 8.766
angles (deg): 105.56 105.56 117.60
Positions (direct):
Cs  0.000  0.000  0.000
Cs  0.750  0.250  0.500
Li  0.250  0.750  0.500
Li  0.500  0.500  0.000
B  0.040  0.920  0.582
B  0.080  0.661  0.119
B  0.208  0.589  0.918
B  0.339  0.458  0.418
B  0.352  0.625  0.227
B  0.375  0.602  0.727
B  0.398  0.125  0.773
B  0.411  0.330  0.619
B  0.542  0.960  0.881
B  0.670  0.290  0.082
B  0.710  0.792  0.381
B  0.875  0.648  0.273
O  0.034  0.781  0.458
O  0.077  0.625  0.952
O  0.198  0.056  0.743
O  0.205  0.563  0.757
O  0.219  0.677  0.253
O  0.313  0.455  0.257
O  0.323  0.577  0.542
O  0.327  0.573  0.042
O  0.375  0.327  0.452
O  0.423  0.966  0.747
O  0.427  0.469  0.753
O  0.437  0.194  0.642
O  0.531  0.284  0.958
O  0.545  0.802  0.858
O  0.552  0.795  0.358
O  0.673  0.125  0.048
O  0.716  0.673  0.247
O  0.806  0.448  0.243
O  0.875  0.923  0.548
O  0.944  0.687  0.142

Main lines, in order of rising 2θ (2θ = 10–80°):
16.72 deg, I = 141; 21.14 deg, I = 1000; 22.90 deg, I = 650; 31.99 deg, I = 202; 33.21 deg, I = 332; 35.17 deg, I = 239; 36.31 deg, I = 170; 41.23 deg, I = 170

***

Entry 2:
The following is a theoretical powder diffractogram of CsLi5B2O6. It was derived from a cell relaxed with PBE, using Cu Kα (weighted mean of Kα1 and Kα2).

Structural model:
a b c (Å): 7.647 7.647 8.206
angles (deg): 122.04 122.04 77.56
Positions (direct):
Cs  0.184  0.816  0.750
Cs  0.816  0.184  0.250
Li  0.032  0.763  0.269
Li  0.206  0.569  0.039
Li  0.237  0.968  0.231
Li  0.431  0.794  0.461
Li  0.500  0.500  0.000
Li  0.500  0.500  0.500
Li  0.569  0.206  0.539
Li  0.763  0.032  0.769
Li  0.794  0.431  0.961
Li  0.968  0.237  0.731
B  0.187  0.332  0.188
B  0.332  0.187  0.688
B  0.668  0.813  0.312
B  0.813  0.668  0.812
O  0.003  0.233  0.992
O  0.229  0.329  0.797
O  0.233  0.003  0.492
O  0.237  0.544  0.284
O  0.329  0.229  0.297
O  0.456  0.763  0.216
O  0.544  0.237  0.784
O  0.671  0.771  0.703
O  0.763  0.456  0.716
O  0.767  0.997  0.508
O  0.771  0.671  0.203
O  0.997  0.767  0.008

Main lines, in order of rising 2θ (2θ = 10–80°):
14.21 deg, I = 788; 23.75 deg, I = 806; 24.80 deg, I = 730; 24.99 deg, I = 787; 29.75 deg, I = 1000; 30.04 deg, I = 717; 34.09 deg, I = 787; 40.57 deg, I = 672

***

Entry 3:
The following is a theoretical powder diffractogram of CsMg6BO7. It was derived from a cell relaxed with PBE, using Cu Kα (weighted mean of Kα1 and Kα2).

Structural model:
a b c (Å): 4.262 4.262 12.423
angles (deg): 91.34 91.34 91.09
Positions (direct):
Cs  0.000  0.000  0.000
Mg  0.018  0.497  0.696
Mg  0.482  0.982  0.336
Mg  0.495  0.495  0.508
Mg  0.497  0.018  0.696
Mg  0.982  0.482  0.336
Mg  0.992  0.992  0.518
B  0.605  0.605  0.816
O  0.000  0.000  0.676
O  0.459  0.860  0.851
O  0.483  0.483  0.337
O  0.492  0.995  0.509
O  0.504  0.504  0.696
O  0.860  0.459  0.851
O  0.995  0.492  0.509

Main lines, in order of rising 2θ (2θ = 10–80°):
14.27 deg, I = 619; 21.47 deg, I = 485; 21.89 deg, I = 846; 22.22 deg, I = 569; 25.07 deg, I = 790; 25.64 deg, I = 546; 32.80 deg, I = 683; 42.43 deg, I = 1000

***

Entry 4:
The following is a theoretical powder diffractogram of CsB4O7. It was derived from a cell relaxed with PBE, using Cu Kα (weighted mean of Kα1 and Kα2).

Structural model:
a b c (Å): 11.283 4.670 4.390
angles (deg): 90.00 90.00 90.00
Positions (direct):
Cs  0.000  0.219  0.000
Cs  0.500  0.781  0.500
B  0.124  0.674  0.531
B  0.247  0.828  0.999
B  0.253  0.172  0.499
B  0.376  0.326  0.031
B  0.624  0.326  0.031
B  0.747  0.172  0.499
B  0.753  0.828  0.999
B  0.876  0.674  0.531
O  0.000  0.723  0.443
O  0.142  0.740  0.848
O  0.160  0.380  0.475
O  0.211  0.889  0.344
O  0.289  0.111  0.844
O  0.340  0.620  0.975
O  0.358  0.260  0.348
O  0.500  0.277  0.943
O  0.642  0.260  0.348
O  0.660  0.620  0.975
O  0.711  0.111  0.844
O  0.789  0.889  0.344
O  0.840  0.380  0.475
O  0.858  0.740  0.848

Main lines, in order of rising 2θ (2θ = 10–80°):
20.58 deg, I = 390; 21.72 deg, I = 408; 27.89 deg, I = 354; 30.52 deg, I = 459; 31.32 deg, I = 487; 32.17 deg, I = 1000; 42.74 deg, I = 433; 44.66 deg, I = 302

***

Entry 5:
The following is a theoretical powder diffractogram of CsB5O8. It was derived from a cell relaxed with PBE, using Cu Kα (weighted mean of Kα1 and Kα2).

Structural model:
a b c (Å): 7.168 10.210 11.948
angles (deg): 90.00 118.18 90.00
Positions (direct):
Cs  0.192  0.004  0.266
Cs  0.192  0.496  0.766
Cs  0.808  0.504  0.234
Cs  0.808  0.996  0.734
B  0.039  0.738  0.008
B  0.039  0.762  0.508
B  0.226  0.090  0.640
B  0.226  0.410  0.140
B  0.330  0.235  0.036
B  0.330  0.265  0.536
B  0.363  0.703  0.500
B  0.363  0.797  0.000
B  0.372  0.592  0.324
B  0.372  0.908  0.824
B  0.628  0.092  0.176
B  0.628  0.408  0.676
B  0.637  0.203  0.000
B  0.637  0.297  0.500
B  0.670  0.735  0.464
B  0.670  0.765  0.964
B  0.774  0.590  0.860
B  0.774  0.910  0.360
B  0.961  0.238  0.492
B  0.961  0.262  0.992
O  0.020  0.142  0.585
O  0.020  0.358  0.085
O  0.101  0.210  0.958
O  0.101  0.290  0.458
O  0.249  0.722  0.565
O  0.249  0.778  0.065
O  0.257  0.638  0.383
O  0.257  0.862  0.883
O  0.260  0.513  0.221
O  0.260  0.987  0.721
O  0.370  0.139  0.608
O  0.370  0.361  0.108
O  0.422  0.127  0.131
O  0.422  0.373  0.631
O  0.434  0.243  0.954
O  0.434  0.257  0.454
O  0.566  0.743  0.546
O  0.566  0.757  0.046
O  0.578  0.627  0.369
O  0.578  0.873  0.869
O  0.630  0.639  0.892
O  0.630  0.861  0.392
O  0.740  0.013  0.279
O  0.740  0.487  0.779
O  0.743  0.138  0.117
O  0.743  0.362  0.617
O  0.751  0.222  0.935
O  0.751  0.278  0.435
O  0.899  0.710  0.542
O  0.899  0.790  0.042
O  0.980  0.642  0.915
O  0.980  0.858  0.415

Main lines, in order of rising 2θ (2θ = 10–80°):
15.21 deg, I = 232; 21.37 deg, I = 308; 24.08 deg, I = 185; 24.28 deg, I = 1000; 26.82 deg, I = 181; 29.07 deg, I = 458; 38.46 deg, I = 155; 39.61 deg, I = 198